This entry pairs a crystal structure of Ba2GdCoCu2O7 with its calculated X-ray powder pattern. Radiation: Cu Kα (weighted mean of Kα1 and Kα2). Structure: a DFT-relaxed cell (GGA+U, Alexandria).

Largest 10 diffraction maxima, sorted by position, 15° ≤ 2θ ≤ 90°:
two_theta	d/Å	I (rel.)	hkl
32.10	2.789	46	0 1 3
32.37	2.766	100	1 0 3
39.81	2.264	17	1 1 3
45.89	1.977	9	0 0 6
46.17	1.966	15	0 2 0
46.83	1.940	14	2 0 0
57.30	1.608	16	1 1 6
57.48	1.603	19	1 2 3
57.91	1.592	17	2 1 3
67.87	1.381	9	2 2 0

Crystal structure
```
Ba2GdCoCu2O7
1.0
3.8797 0.0000 0.0000
0.0000 3.9327 0.0000
0.0000 0.0000 11.8646
Ba Gd Co Cu O
2 1 1 2 7
Cartesian
0.0000 0.0000 2.1729
0.0000 0.0000 9.6917
0.0000 0.0000 5.9323
1.9398 1.9663 0.0000
1.9398 1.9663 4.2648
1.9398 1.9663 7.5998
0.0000 1.9663 4.4646
0.0000 1.9663 7.4000
1.9398 0.0000 0.0000
1.9398 0.0000 4.4569
1.9398 0.0000 7.4077
1.9398 1.9663 1.7972
1.9398 1.9663 10.0674
```